Simulated PXRD pattern
Compound: Na2NbZnP3O12
Radiation: Cu Kα
Structure: the PBE geometry in the Materials Project
Neutral-atom scattering factors, no anomalous dispersion.

Top 10 peaks for 10 to 80 degrees two-theta, low angle first:
(2 0 0), 2θ = 13.88°, d 6.381, intensity 31; (1 1 1), 2θ = 19.57°, d 4.536, intensity 100; (3 1 -1), 2θ = 19.96°, d 4.449, intensity 67; (0 2 0), 2θ = 20.09°, d 4.420, intensity 41; (3 1 0), 2θ = 23.20°, d 3.833, intensity 33; (3 1 -2), 2θ = 23.34°, d 3.811, intensity 68; (2 2 -2), 2θ = 28.21°, d 3.163, intensity 45; (3 1 1), 2θ = 31.14°, d 2.872, intensity 55; (3 1 -3), 2θ = 31.31°, d 2.857, intensity 94; (3 3 -1), 2θ = 35.09°, d 2.557, intensity 44

Structural model:
Cell lengths 15.4458, 8.8392, 9.0629 Å; angles 90.00, 124.28, 90.00 degrees
Space group Cc (No. 9)
Asymmetric unit:
Na 0.0000 0.1128 0.0000
Na 0.2607 0.2482 0.2659
Nb 0.1100 0.2547 0.8017
Zn 0.3992 0.2463 0.6892
P 0.1477 0.1075 0.4799
P 0.3585 0.3959 0.9892
P 0.4994 0.0417 0.4823
O 0.0503 0.1647 0.3106
O 0.0710 0.4365 0.6537
O 0.0831 0.3595 0.9728
O 0.1392 0.1374 0.6468
O 0.1464 0.0738 0.9736
O 0.2466 0.1689 0.5076
O 0.2607 0.3153 0.9701
O 0.3541 0.4347 0.5128
O 0.3616 0.3703 0.8283
O 0.4345 0.1542 0.5078
O 0.4349 0.0532 0.8202
O 0.4585 0.3215 0.1623